(1)
Computed X-ray powder pattern
Compound: Nd5SmIn5
Radiation: Cu Kα, 1.54184 Å
Structure: a structure optimized by DFT (PBE)

Most intense lines, 10 to 90 degrees two-theta, sorted by position:
2θ 30.1, 2.972 Å, intensity 51.9, hkl 2 0 0
2θ 30.7, 2.913 Å, intensity 46.5, hkl 0 6 0
2θ 31.1, 2.878 Å, intensity 10.9, hkl 1 1 2
2θ 34.4, 2.609 Å, intensity 100.0, hkl 1 3 2
2θ 43.5, 2.080 Å, intensity 35.7, hkl 2 6 0
2θ 56.2, 1.637 Å, intensity 24.1, hkl 3 3 2
2θ 57.0, 1.617 Å, intensity 20.1, hkl 1 9 2
2θ 63.8, 1.459 Å, intensity 11.5, hkl 2 0 4
2θ 64.1, 1.452 Å, intensity 10.7, hkl 0 6 4
2θ 72.4, 1.305 Å, intensity 15.1, hkl 2 6 4

Structure:
a = 5.943 Å, b = 17.476 Å, c = 6.700 Å
α = 90.00°, β = 90.00°, γ = 90.00°
Space group Cmmm (No. 65)
Unique sites:
1 Nd 0.000 0.000 0.000 [2 per cell]
2 Nd 0.000 0.323 0.500 [4 per cell]
3 Nd 0.000 0.342 0.000 [4 per cell]
4 Sm 0.000 0.000 0.500 [2 per cell]
5 In 0.000 0.164 0.238 [8 per cell]
6 In 0.000 0.500 0.500 [2 per cell]

---

(2)
Computed X-ray powder pattern
Compound: Ir3PdSe8
Radiation: Cu Kα, 1.54184 Å
Structure: a structure optimized by DFT (PBE)

Most intense lines, 10 to 90 degrees two-theta, sorted by position:
2θ 17.3, 5.132 Å, intensity 70.0, hkl 2 0 -1
2θ 27.5, 3.242 Å, intensity 19.3, hkl 0 0 2
2θ 32.5, 2.751 Å, intensity 100.0, hkl 2 2 0
2θ 32.9, 2.722 Å, intensity 50.2, hkl 2 0 -3
2θ 44.8, 2.025 Å, intensity 13.1, hkl 4 0 0
2θ 44.9, 2.020 Å, intensity 27.4, hkl 4 2 -1
2θ 45.2, 2.006 Å, intensity 27.8, hkl 4 2 -3
2θ 48.6, 1.872 Å, intensity 55.5, hkl 0 4 0
2θ 59.9, 1.544 Å, intensity 17.8, hkl 2 4 -3
2θ 61.4, 1.509 Å, intensity 15.7, hkl 6 2 -4

Structure:
a = 10.265 Å, b = 7.497 Å, c = 8.210 Å
α = 90.00°, β = 127.90°, γ = 90.00°
Space group C2/m (No. 12)
Unique sites:
1 Ir 0.000 0.000 0.000 [2 per cell]
2 Ir 0.250 0.250 0.500 [4 per cell]
3 Pd 0.000 0.500 0.000 [2 per cell]
4 Se 0.044 0.000 0.337 [4 per cell]
5 Se 0.045 0.500 0.345 [4 per cell]
6 Se 0.208 0.246 0.167 [8 per cell]

---

(3)
Computed X-ray powder pattern
Compound: Ac8Ru2Pt3
Radiation: Cu Kα, 1.54184 Å
Structure: a structure optimized by DFT (PBE)

Most intense lines, 10 to 90 degrees two-theta, sorted by position:
2θ 11.9, 7.458 Å, intensity 25.0, hkl 2 0 0
2θ 24.6, 3.618 Å, intensity 38.8, hkl 2 0 -2
2θ 25.8, 3.454 Å, intensity 89.9, hkl 2 2 -1
2θ 30.7, 2.910 Å, intensity 66.7, hkl 2 0 2
2θ 31.9, 2.802 Å, intensity 100.0, hkl 4 2 -1
2θ 37.0, 2.433 Å, intensity 53.0, hkl 4 2 1
2θ 38.0, 2.366 Å, intensity 39.8, hkl 6 0 -2
2θ 42.6, 2.124 Å, intensity 56.1, hkl 2 2 -3
2θ 43.0, 2.105 Å, intensity 32.2, hkl 0 4 0
2θ 53.8, 1.705 Å, intensity 28.1, hkl 2 4 2

Structure:
a = 15.517 Å, b = 8.419 Å, c = 7.387 Å
α = 90.00°, β = 105.99°, γ = 90.00°
Space group C2/m (No. 12)
Unique sites:
1 Ac 0.109 0.000 0.352 [4 per cell]
2 Ac 0.120 0.500 0.417 [4 per cell]
3 Ac 0.126 0.257 0.894 [8 per cell]
4 Ru 0.243 0.000 0.173 [4 per cell]
5 Pt 0.000 0.241 0.500 [4 per cell]
6 Pt 0.000 0.500 0.000 [2 per cell]

---

(4)
Computed X-ray powder pattern
Compound: Nd5Mg
Radiation: Cu Kα, 1.54184 Å
Structure: a structure optimized by DFT (PBE)

Most intense lines, 10 to 90 degrees two-theta, sorted by position:
2θ 19.2, 4.631 Å, intensity 9.7, hkl 0 1 2
2θ 28.1, 3.173 Å, intensity 25.0, hkl 1 1 0
2θ 31.2, 2.865 Å, intensity 24.8, hkl 0 0 6
2θ 32.2, 2.776 Å, intensity 100.0, hkl 1 1 3
2θ 42.5, 2.127 Å, intensity 16.1, hkl 1 1 6
2θ 49.8, 1.832 Å, intensity 21.2, hkl 3 0 0
2θ 56.2, 1.637 Å, intensity 19.5, hkl 1 1 9
2θ 59.9, 1.544 Å, intensity 19.6, hkl 3 0 6
2θ 60.5, 1.529 Å, intensity 13.5, hkl 2 2 3
2θ 82.1, 1.174 Å, intensity 10.0, hkl 4 1 3

Structure:
a = 6.3470 Å, b = 6.3470 Å, c = 17.1910 Å
α = 90.00°, β = 90.00°, γ = 120.00°
Space group R32 (No. 155, hexagonal axes)
Unique sites:
1 Nd 0.0000 0.0000 0.1596 [6 per cell]
2 Nd 0.0000 0.6322 0.0000 [9 per cell]
3 Mg 0.0000 0.0000 0.5000 [3 per cell]

---

(5)
Computed X-ray powder pattern
Compound: Ce3CdHg
Radiation: Cu Kα, 1.54184 Å
Structure: a structure optimized by DFT (PBE)

Most intense lines, 10 to 90 degrees two-theta, sorted by position:
2θ 28.6, 3.117 Å, intensity 54.0, hkl 0 2 2
2θ 32.5, 2.758 Å, intensity 55.4, hkl 2 0 0
2θ 36.2, 2.484 Å, intensity 100.0, hkl 1 3 2
2θ 36.4, 2.468 Å, intensity 59.8, hkl 1 5 0
2θ 43.8, 2.066 Å, intensity 34.3, hkl 2 2 2
2θ 52.4, 1.747 Å, intensity 13.7, hkl 0 0 4
2θ 60.3, 1.534 Å, intensity 22.6, hkl 3 3 2
2θ 60.5, 1.530 Å, intensity 13.6, hkl 3 5 0
2θ 63.0, 1.476 Å, intensity 17.4, hkl 2 0 4
2θ 65.5, 1.426 Å, intensity 20.3, hkl 1 5 4

Structure:
a = 5.516 Å, b = 13.795 Å, c = 6.988 Å
α = 90.00°, β = 90.00°, γ = 90.00°
Space group Cmcm (No. 63)
Unique sites:
1 Ce 0.000 0.140 0.250 [4 per cell]
2 Ce 0.000 0.296 0.014 [8 per cell]
3 Cd 0.000 0.102 0.750 [4 per cell]
4 Hg 0.000 0.493 0.750 [4 per cell]

---

(6)
Computed X-ray powder pattern
Compound: V2Ni17
Radiation: Cu Kα, 1.54184 Å
Structure: a structure optimized by DFT (PBE)

Most intense lines, 10 to 90 degrees two-theta, sorted by position:
2θ 22.3, 3.993 Å, intensity 21.9, hkl 1 1 0
2θ 39.1, 2.305 Å, intensity 34.1, hkl 3 0 0
2θ 44.8, 2.024 Å, intensity 34.8, hkl 0 0 6
2θ 45.3, 2.003 Å, intensity 100.0, hkl 0 3 3
2θ 45.4, 1.996 Å, intensity 51.7, hkl 2 2 0
2θ 45.6, 1.988 Å, intensity 22.7, hkl 2 0 5
2θ 50.6, 1.805 Å, intensity 35.7, hkl 1 1 6
2θ 51.0, 1.790 Å, intensity 92.0, hkl 2 2 3
2θ 75.1, 1.264 Å, intensity 17.4, hkl 3 3 3
2θ 84.0, 1.153 Å, intensity 24.5, hkl 6 0 0

Structure:
a = 7.9854 Å, b = 7.9854 Å, c = 12.1451 Å
α = 90.00°, β = 90.00°, γ = 120.00°
Space group R-3m (No. 166, hexagonal axes)
Unique sites:
1 V 0.0000 0.0000 0.1949 [6 per cell]
2 Ni 0.0000 0.0000 0.4019 [6 per cell]
3 Ni 0.0000 0.3138 0.5000 [18 per cell]
4 Ni 0.0000 0.5000 0.0000 [9 per cell]
5 Ni 0.0048 0.5024 0.6544 [18 per cell]

---

(7)
Computed X-ray powder pattern
Compound: Na2UPd2Se4
Radiation: Cu Kα, 1.54184 Å
Structure: a structure optimized by DFT (PBE)

Most intense lines, 10 to 90 degrees two-theta, sorted by position:
2θ 12.8, 6.907 Å, intensity 100.0, hkl 0 0 1
2θ 25.1, 3.547 Å, intensity 15.4, hkl 1 1 -1
2θ 26.3, 3.388 Å, intensity 14.1, hkl 4 0 0
2θ 29.2, 3.058 Å, intensity 23.1, hkl 3 1 -1
2θ 32.8, 2.729 Å, intensity 13.6, hkl 1 1 -2
2θ 34.2, 2.621 Å, intensity 50.3, hkl 3 1 -2
2θ 35.4, 2.537 Å, intensity 28.2, hkl 3 1 1
2θ 43.0, 2.103 Å, intensity 15.1, hkl 3 1 -3
2θ 44.6, 2.031 Å, intensity 24.8, hkl 3 1 2
2θ 44.8, 2.022 Å, intensity 16.6, hkl 0 2 0

Structure:
a = 14.635 Å, b = 4.044 Å, c = 7.459 Å
α = 90.00°, β = 112.18°, γ = 90.00°
Space group C2/m (No. 12)
Unique sites:
1 Na 0.134 0.000 0.087 [4 per cell]
2 U 0.000 0.000 0.500 [2 per cell]
3 Pd 0.183 0.500 0.508 [4 per cell]
4 Se 0.008 0.500 0.242 [4 per cell]
5 Se 0.201 0.000 0.720 [4 per cell]

---

(8)
Computed X-ray powder pattern
Compound: Na2GaCl4
Radiation: Cu Kα, 1.54184 Å
Structure: a structure optimized by DFT (PBE)

Most intense lines, 10 to 90 degrees two-theta, sorted by position:
2θ 15.7, 5.656 Å, intensity 76.5, hkl 1 0 1
2θ 25.4, 3.509 Å, intensity 100.0, hkl 1 1 2
2θ 30.8, 2.900 Å, intensity 14.9, hkl 2 1 1
2θ 37.7, 2.389 Å, intensity 29.0, hkl 2 2 0
2θ 39.7, 2.272 Å, intensity 16.1, hkl 2 1 3
2θ 44.1, 2.053 Å, intensity 38.1, hkl 2 0 4
2θ 46.0, 1.975 Å, intensity 31.7, hkl 3 1 2
2θ 49.4, 1.844 Å, intensity 13.4, hkl 3 2 1
2θ 70.2, 1.341 Å, intensity 12.0, hkl 3 1 6
2θ 72.5, 1.304 Å, intensity 11.5, hkl 4 2 4

Structure:
a = 6.757 Å, b = 6.757 Å, c = 10.341 Å
α = 90.00°, β = 90.00°, γ = 90.00°
Space group I-42m (No. 121)
Unique sites:
1 Na 0.000 0.500 0.250 [4 per cell]
2 Ga 0.000 0.000 0.000 [2 per cell]
3 Cl 0.220 0.220 0.125 [8 per cell]

---

(9)
Computed X-ray powder pattern
Compound: Cu5NiPt2
Radiation: Cu Kα, 1.54184 Å
Structure: a structure optimized by DFT (PBE)

Most intense lines, 10 to 90 degrees two-theta, sorted by position:
2θ 23.9, 3.729 Å, intensity 20.6, hkl 1 2 0
2θ 24.2, 3.678 Å, intensity 10.3, hkl 0 0 1
2θ 34.2, 2.619 Å, intensity 16.7, hkl 1 2 1
2θ 42.2, 2.143 Å, intensity 100.0, hkl 2 0 1
2θ 48.8, 1.865 Å, intensity 32.3, hkl 2 4 0
2θ 49.6, 1.839 Å, intensity 15.5, hkl 0 0 2
2θ 71.6, 1.319 Å, intensity 9.9, hkl 4 0 0
2θ 72.1, 1.309 Å, intensity 19.3, hkl 2 4 2
2θ 86.7, 1.123 Å, intensity 23.8, hkl 4 4 1
2θ 87.8, 1.112 Å, intensity 11.6, hkl 2 0 3

Structure:
a = 5.274 Å, b = 10.549 Å, c = 3.678 Å
α = 90.00°, β = 90.00°, γ = 90.00°
Space group Pbam (No. 55)
Unique sites:
1 Cu 0.000 0.000 0.000 [2 per cell]
2 Cu 0.002 0.251 0.000 [4 per cell]
3 Cu 0.248 0.875 0.500 [4 per cell]
4 Ni 0.000 0.500 0.000 [2 per cell]
5 Pt 0.246 0.624 0.500 [4 per cell]

---

(10)
Computed X-ray powder pattern
Compound: Rb2Sn2Au5
Radiation: Cu Kα, 1.54184 Å
Structure: a structure optimized by DFT (PBE)

Most intense lines, 10 to 90 degrees two-theta, sorted by position:
2θ 15.3, 5.789 Å, intensity 100.0, hkl 2 0 1
2θ 20.2, 4.400 Å, intensity 60.7, hkl 1 1 0
2θ 27.4, 3.256 Å, intensity 61.5, hkl 3 1 -1
2θ 28.5, 3.135 Å, intensity 52.5, hkl 1 1 2
2θ 30.9, 2.895 Å, intensity 67.0, hkl 4 0 2
2θ 31.2, 2.866 Å, intensity 33.3, hkl 2 0 -3
2θ 39.0, 2.308 Å, intensity 52.3, hkl 3 1 -3
2θ 39.4, 2.290 Å, intensity 89.7, hkl 0 2 0
2θ 45.8, 1.982 Å, intensity 32.0, hkl 7 1 -1
2θ 50.8, 1.797 Å, intensity 34.1, hkl 4 2 2

Structure:
a = 15.691 Å, b = 4.584 Å, c = 9.072 Å
α = 90.00°, β = 92.79°, γ = 90.00°
Space group C2/m (No. 12)
Unique sites:
1 Rb 0.093 0.000 0.230 [4 per cell]
2 Sn 0.149 0.500 0.661 [4 per cell]
3 Au 0.000 0.500 0.500 [2 per cell]
4 Au 0.063 0.500 0.907 [4 per cell]
5 Au 0.224 0.000 0.578 [4 per cell]

---

(11)
Computed X-ray powder pattern
Compound: Tm3ScBi4
Radiation: Cu Kα, 1.54184 Å
Structure: a structure optimized by DFT (PBE)

Most intense lines, 10 to 90 degrees two-theta, sorted by position:
2θ 23.7, 3.748 Å, intensity 2.9, hkl 1 3 0
2θ 24.8, 3.588 Å, intensity 7.4, hkl 0 2 1
2θ 28.7, 3.107 Å, intensity 100.0, hkl 2 0 1
2θ 41.1, 2.197 Å, intensity 77.5, hkl 0 0 2
2θ 48.6, 1.874 Å, intensity 4.1, hkl 2 2 2
2θ 50.9, 1.794 Å, intensity 27.9, hkl 0 4 2
2θ 59.5, 1.554 Å, intensity 13.2, hkl 4 0 2
2θ 67.4, 1.390 Å, intensity 36.4, hkl 2 0 3
2θ 74.8, 1.269 Å, intensity 27.1, hkl 2 4 3
2θ 89.1, 1.099 Å, intensity 9.1, hkl 0 0 4

Structure:
a = 8.788 Å, b = 12.426 Å, c = 4.397 Å
α = 90.00°, β = 90.00°, γ = 90.00°
Space group Cmmm (No. 65)
Unique sites:
1 Tm 0.000 0.000 0.000 [2 per cell]
2 Tm 0.250 0.250 0.500 [4 per cell]
3 Sc 0.000 0.500 0.000 [2 per cell]
4 Bi 0.000 0.254 0.000 [4 per cell]
5 Bi 0.243 0.500 0.500 [4 per cell]

---

(12)
Computed X-ray powder pattern
Compound: TbSmP2Pd2
Radiation: Cu Kα, 1.54184 Å
Structure: a structure optimized by DFT (PBE)

Most intense lines, 10 to 90 degrees two-theta, sorted by position:
2θ 24.5, 3.639 Å, intensity 16.0, hkl 1 0 0
2θ 27.2, 3.284 Å, intensity 16.2, hkl 0 1 1
2θ 34.1, 2.632 Å, intensity 100.0, hkl 0 1 2
2θ 43.1, 2.101 Å, intensity 44.5, hkl 1 1 0
2θ 47.7, 1.906 Å, intensity 10.9, hkl 0 0 4
2θ 56.0, 1.642 Å, intensity 23.8, hkl 2 0 2
2θ 66.2, 1.412 Å, intensity 24.2, hkl 1 1 4
2θ 73.2, 1.294 Å, intensity 21.4, hkl 1 2 2
2θ 78.9, 1.213 Å, intensity 7.4, hkl 3 0 0
2θ 80.0, 1.200 Å, intensity 8.4, hkl 0 1 6

Structure:
a = 4.2015 Å, b = 4.2015 Å, c = 7.6258 Å
α = 90.00°, β = 90.00°, γ = 120.00°
Space group P-3m1 (No. 164)
Unique sites:
1 Tb 0.0000 0.0000 0.0000 [1 per cell]
2 Sm 0.0000 0.0000 0.5000 [1 per cell]
3 P 0.3333 0.6667 0.7530 [2 per cell]
4 Pd 0.3333 0.6667 0.2441 [2 per cell]